For Ce4MnSe6O, a cell relaxed with PBE+U gives the theoretical X-ray diffraction stick pattern in this record (λ = 1.5418 Å (Cu Kα)).
Kinematic intensities with the Lorentz-polarization factor, no thermal factor.

Structure:
```
data_Ce4MnSe6O
_cell_length_a 9.6659
_cell_length_b 9.6659
_cell_length_c 7.0728
_cell_angle_alpha 90.00
_cell_angle_beta 90.00
_cell_angle_gamma 120.00
_symmetry_space_group_name_H-M 'P 1'
_symmetry_Int_Tables_number 1
loop_
_symmetry_equiv_pos_as_xyz
'x,y,z'
loop_
_atom_site_label
_atom_site_type_symbol
_atom_site_fract_x
_atom_site_fract_y
_atom_site_fract_z
_atom_site_occupancy
Ce1 Ce 0.2015 0.4030 0.0000 1
Ce2 Ce 0.2015 0.7985 0.0000 1
Ce3 Ce 0.3333 0.6667 0.5501 1
Ce4 Ce 0.4030 0.2015 0.5000 1
Ce5 Ce 0.5970 0.7985 0.0000 1
Ce6 Ce 0.6667 0.3333 0.0501 1
Ce7 Ce 0.7985 0.2015 0.5000 1
Ce8 Ce 0.7985 0.5970 0.5000 1
Mn1 Mn 0.0000 0.0000 0.3370 1
Mn2 Mn 0.0000 0.0000 0.8370 1
Se1 Se 0.0593 0.5296 0.2858 1
Se2 Se 0.1276 0.2552 0.6030 1
Se3 Se 0.1276 0.8724 0.6030 1
Se4 Se 0.2552 0.1276 0.1030 1
Se5 Se 0.4704 0.5296 0.2858 1
Se6 Se 0.4704 0.9407 0.2858 1
Se7 Se 0.5296 0.0593 0.7858 1
Se8 Se 0.5296 0.4704 0.7858 1
Se9 Se 0.7448 0.8724 0.6030 1
Se10 Se 0.8724 0.1276 0.1030 1
Se11 Se 0.8724 0.7448 0.1030 1
Se12 Se 0.9407 0.4704 0.7858 1
O1 O 0.3333 0.6667 0.8886 1
O2 O 0.6667 0.3333 0.3886 1
```

Principal peaks in the range 2θ = 5–70°, in order of rising 2θ:
d [Å]	I_rel	index
3.602	53	2 0 1
2.888	64	2 1 1
2.701	100	2 0 2
2.596	74	3 0 1
2.416	56	2 2 0
2.054	28	2 0 3